(1)
Diffraction record for BaYCrCuO5. The powder X-ray diffraction pattern is theoretical, not measured: it uses a DFT-relaxed cell (GGA+U, the Materials Project) and λ = 1.5418 Å (Cu Kα).

Main lines, in order of falling intensity (10° ≤ 2θ ≤ 90°):
2θ/deg	I (rel.)
32.46	100
32.33	42
57.74	37
46.37	31
58.00	19
77.04	15
39.98	14
67.98	11
67.67	9
46.76	9

Crystal structure
```
9
Lattice="3.916 0.000 0.000 0.000 3.916 0.000 0.000 0.000 7.770" Properties=species:S:1:pos:R:3 pbc="T T T"
Ba 0.000 0.000 0.000
Y 0.000 0.000 3.709
Cr 1.958 1.958 5.550
Cu 1.958 1.958 2.041
O 0.000 1.958 2.280
O 0.000 1.958 5.130
O 1.958 0.000 2.280
O 1.958 0.000 5.130
O 1.958 1.958 7.451
```

***

(2)
Diffraction record for Li4MnTe3O12. The powder X-ray diffraction pattern is theoretical, not measured: it uses a DFT-relaxed cell (GGA+U, the Materials Project) and λ = 1.5418 Å (Cu Kα).

Main lines, in order of falling intensity (10° ≤ 2θ ≤ 90°):
2θ/deg	I (rel.)
23.60	100
23.35	51
32.69	38
34.29	25
53.24	21
32.50	20
42.00	15
34.50	12
60.49	11
47.74	9

Crystal structure
```
20
Lattice="5.200 0.000 0.000 0.015 5.486 0.000 0.035 0.551 7.620" Properties=species:S:1:pos:R:3 pbc="T T T"
Li 0.000 0.000 0.000
Li 0.054 0.327 4.159
Li 2.619 3.444 7.609
Li 2.673 3.254 4.171
Mn 2.661 5.652 5.632
Te 5.233 2.833 5.614
Te 0.025 2.538 1.823
Te 2.646 5.293 1.809
O 0.759 2.578 3.612
O 0.898 1.154 5.970
O 1.029 4.116 1.171
O 1.604 1.426 1.178
O 1.634 3.800 5.953
O 1.981 5.296 3.550
O 3.284 4.996 0.058
O 3.579 3.508 2.305
O 3.719 1.796 5.063
O 4.257 4.392 5.107
O 4.331 0.793 2.281
O 4.554 2.823 7.592
```

***

(3)
Diffraction record for Na2Mg5Mo6O24. The powder X-ray diffraction pattern is theoretical, not measured: it uses a DFT-relaxed cell (GGA+U, the Materials Project) and λ = 1.5418 Å (Cu Kα).

Main lines, in order of falling intensity (10° ≤ 2θ ≤ 90°):
2θ/deg	I (rel.)
27.65	100
26.59	95
19.21	82
25.93	76
27.00	72
22.37	70
21.03	69
26.23	41
18.95	40
32.48	34

Crystal structure
```
37
Lattice="7.054 0.000 0.000 -1.963 8.445 0.000 -2.627 -3.684 9.364" Properties=species:S:1:pos:R:3 pbc="T T T"
Na 0.000 0.000 0.000
Na -0.342 5.587 2.751
Mg -2.470 3.994 4.747
Mg 1.496 3.468 0.939
Mg 0.994 1.318 8.345
Mg 2.818 -0.697 6.476
Mg 4.874 0.738 4.446
Mo -2.539 1.900 7.710
Mo -0.783 -1.404 7.065
Mo 1.395 0.668 3.449
Mo 1.009 4.189 5.865
Mo 3.264 6.188 2.164
Mo 4.983 2.794 1.487
O -2.102 -0.466 6.185
O -2.239 2.324 5.979
O -0.546 3.729 1.279
O -2.520 5.506 6.230
O -2.878 3.377 8.559
O -1.312 -1.721 8.747
O -0.127 0.917 4.330
O 1.114 -0.696 2.358
O -1.111 1.066 8.512
O -0.378 4.305 4.725
O 1.739 2.066 2.391
O 0.815 -0.524 7.042
O 1.749 5.232 2.072
O 0.789 2.851 7.031
O 2.748 0.253 4.667
O 3.596 3.652 0.630
O 1.154 5.782 6.732
O 2.522 3.893 4.977
O 3.869 6.471 0.488
O 5.241 1.280 0.666
O 4.888 -0.730 3.012
O 2.988 0.884 7.808
O 4.671 2.419 3.250
O 4.473 5.236 3.117
```

***

(4)
Diffraction record for Ni3O4. The powder X-ray diffraction pattern is theoretical, not measured: it uses a DFT-relaxed cell (GGA+U, the Materials Project) and λ = 1.5418 Å (Cu Kα).

Main lines, in order of falling intensity (10° ≤ 2θ ≤ 90°):
2θ/deg	I (rel.)
43.26	100
44.61	46
18.44	45
38.10	39
64.21	39
63.53	27
36.86	23
17.42	23
37.38	21
20.04	17

Crystal structure
```
14
Lattice="9.629 -1.451 0.000 9.629 1.451 0.000 -0.191 0.000 5.091" Properties=species:S:1:pos:R:3 pbc="T T T"
Ni 0.000 0.000 0.000
Ni 2.361 0.000 1.870
Ni 4.533 0.000 3.825
Ni 9.534 0.000 2.545
Ni 14.534 0.000 1.266
Ni 16.706 0.000 3.221
O 0.869 0.000 3.301
O 3.818 0.000 0.502
O 5.892 0.000 2.309
O 8.370 0.000 4.025
O 10.697 0.000 1.065
O 13.175 0.000 2.782
O 15.250 0.000 4.589
O 18.199 0.000 1.790
```

***

(5)
Diffraction record for Hg2W2O7. The powder X-ray diffraction pattern is theoretical, not measured: it uses a DFT-relaxed cell (GGA+U, the Materials Project) and λ = 1.5418 Å (Cu Kα).

Main lines, in order of falling intensity (10° ≤ 2θ ≤ 90°):
2θ/deg	I (rel.)
25.15	100
26.41	61
28.75	46
32.20	45
29.19	41
28.61	37
29.90	33
50.14	33
16.40	32
50.73	31

Crystal structure
```
44
Lattice="6.285 -3.821 0.000 6.285 3.821 0.000 -4.038 0.000 14.391" Properties=species:S:1:pos:R:3 pbc="T T T"
Hg 1.660 2.479 13.520
Hg 4.854 2.479 8.066
Hg 3.473 1.188 6.281
Hg 7.078 1.188 0.915
Hg 1.454 -1.188 13.476
Hg 5.059 -1.188 8.110
Hg 3.679 -2.479 6.325
Hg 6.873 -2.479 0.871
W -1.343 0.081 11.650
W 0.676 -0.081 4.455
W 1.545 0.028 9.901
W 3.564 -0.028 2.706
W 4.969 0.028 11.685
W 6.988 -0.028 4.490
W 7.856 0.081 9.936
W 9.875 -0.081 2.740
O 3.257 3.485 10.793
O 1.356 1.904 9.759
O -1.898 0.266 13.318
O 3.683 1.918 3.243
O 1.618 0.262 2.452
O 0.121 -0.266 6.123
O -0.401 -0.262 9.648
O 0.622 0.171 11.954
O 4.122 0.300 1.061
O 2.641 -0.171 4.759
O 6.869 1.918 3.952
O 2.103 -0.300 8.257
O 5.158 1.904 11.827
O 3.257 0.221 10.793
O 5.276 -0.221 3.598
O 3.375 -1.904 2.564
O 6.430 0.300 6.134
O 1.664 -1.918 10.438
O 5.891 0.171 9.632
O 4.411 -0.300 13.329
O 7.910 -0.171 2.436
O 8.934 0.262 4.743
O 8.412 0.266 8.268
O 6.915 -0.262 11.938
O 4.850 -1.918 11.148
O 10.431 -0.266 1.073
O 7.177 -1.904 4.632
O 5.276 -3.485 3.598
```

***

(6)
Diffraction record for Mg2Ta2CrO8. The powder X-ray diffraction pattern is theoretical, not measured: it uses a DFT-relaxed cell (GGA+U, the Materials Project) and λ = 1.5418 Å (Cu Kα).

Main lines, in order of falling intensity (10° ≤ 2θ ≤ 90°):
2θ/deg	I (rel.)
18.24	100
34.44	87
23.03	67
26.68	60
38.84	53
50.75	46
25.71	46
33.94	45
32.24	38
32.89	37

Crystal structure
```
26
Lattice="5.208 0.000 0.000 -0.101 6.079 0.000 -0.178 -2.629 9.728" Properties=species:S:1:pos:R:3 pbc="T T T"
Mg 0.000 0.000 0.000
Mg -0.029 3.088 0.871
Mg 2.558 1.728 0.035
Mg 2.531 4.817 0.905
Ta -0.002 -0.045 3.000
Ta 2.355 2.236 7.633
Ta 2.595 1.928 3.015
Ta 4.965 0.262 7.617
Cr -0.158 3.212 5.327
Cr 2.504 -1.018 5.302
O 0.481 -0.867 9.050
O 0.673 4.795 4.161
O 0.868 1.567 3.847
O 0.836 1.912 8.988
O 1.519 0.278 1.647
O 1.484 0.626 6.783
O 1.577 3.473 6.469
O 1.870 3.057 1.582
O 3.026 3.433 9.053
O 3.383 3.160 4.129
O 3.454 0.256 3.865
O 3.449 0.644 8.957
O 4.113 1.540 1.680
O 4.109 1.937 6.770
O 4.171 -0.957 6.495
O 4.436 4.835 1.579
```

***

(7)
Diffraction record for Mg3Fe4O7. The powder X-ray diffraction pattern is theoretical, not measured: it uses a DFT-relaxed cell (GGA+U, the Materials Project) and λ = 1.5418 Å (Cu Kα).

Main lines, in order of falling intensity (10° ≤ 2θ ≤ 90°):
2θ/deg	I (rel.)
41.73	100
60.38	72
35.89	68
41.56	51
72.38	19
20.86	18
60.55	14
76.12	13
76.02	13
44.20	8

Crystal structure
```
14
Lattice="-2.173 10.722 1.529 2.173 -10.722 1.529 2.173 10.722 -1.529" Properties=species:S:1:pos:R:3 pbc="T T T"
Mg 0.000 0.000 0.000
Mg 0.000 3.035 0.016
Mg 0.000 18.408 0.016
Fe 2.173 -4.645 1.499
Fe 0.000 9.166 0.003
Fe 0.000 12.277 0.003
Fe 2.173 4.645 1.499
O 2.173 0.000 0.048
O 2.173 3.109 -0.057
O 2.173 6.212 0.044
O 2.173 9.189 0.004
O 0.000 1.533 1.533
O 0.000 4.509 1.573
O 0.000 7.612 1.472
```

***

(8)
Diffraction record for Fe2O3. The powder X-ray diffraction pattern is theoretical, not measured: it uses a DFT-relaxed cell (GGA+U, the Materials Project) and λ = 1.5418 Å (Cu Kα).

Main lines, in order of falling intensity (10° ≤ 2θ ≤ 90°):
2θ/deg	I (rel.)
35.11	100
33.51	78
18.85	57
58.86	55
22.28	42
37.65	41
11.77	39
30.43	39
40.98	34
35.82	32

Crystal structure
```
30
Lattice="5.435 0.000 0.000 -2.718 4.707 0.000 0.000 0.000 15.040" Properties=species:S:1:pos:R:3 pbc="T T T"
Fe 0.000 0.000 0.000
Fe 0.000 0.000 2.578
Fe 0.000 0.000 7.400
Fe 0.000 0.000 9.970
Fe -0.900 1.768 12.672
Fe 0.000 3.138 7.993
Fe -0.736 4.603 12.672
Fe 1.076 1.605 5.186
Fe 1.637 3.043 12.672
Fe 3.507 0.129 5.186
Fe 2.718 1.569 9.662
Fe 3.570 2.973 5.186
O -1.836 3.194 8.600
O -0.716 1.270 0.876
O -0.743 1.583 6.097
O -1.260 4.693 0.876
O -0.975 4.560 6.097
O 0.865 1.388 13.360
O 0.879 1.413 3.471
O 0.870 1.520 8.600
O 1.735 0.250 10.857
O 1.719 3.272 6.097
O 0.966 4.700 8.600
O 3.772 0.055 3.471
O 3.801 0.055 13.360
O 2.067 3.080 10.857
O 1.976 3.452 0.876
O 4.352 1.377 10.857
O 3.502 3.239 3.471
O 3.487 3.264 13.360
```

***

(9)
Diffraction record for Fe3O4F2. The powder X-ray diffraction pattern is theoretical, not measured: it uses a DFT-relaxed cell (GGA+U, the Materials Project) and λ = 1.5418 Å (Cu Kα).

Main lines, in order of falling intensity (10° ≤ 2θ ≤ 90°):
2θ/deg	I (rel.)
25.22	100
35.21	91
27.82	89
54.13	49
66.71	38
51.23	30
51.19	30
37.89	18
39.24	17
51.77	15

Crystal structure
```
18
Lattice="4.650 -3.207 0.000 4.650 3.207 0.000 -3.404 0.000 6.884" Properties=species:S:1:pos:R:3 pbc="T T T"
Fe 0.000 0.000 0.000
Fe -1.568 0.000 3.231
Fe 2.163 0.000 2.129
Fe 0.511 0.000 5.585
Fe 3.928 0.000 4.600
Fe 5.914 0.000 0.935
O 0.401 1.955 5.604
O 3.072 1.236 3.318
O 5.826 1.977 1.022
O 2.400 0.000 5.890
O 0.401 -1.955 5.604
O 3.072 -1.236 3.318
O 7.809 0.000 1.314
O 5.826 -1.977 1.022
F -1.510 0.000 5.256
F 0.477 0.000 3.540
F 3.803 0.000 0.778
F 5.716 0.000 3.008
```

***

(10)
Diffraction record for Li6Mn5O10. The powder X-ray diffraction pattern is theoretical, not measured: it uses a DFT-relaxed cell (GGA+U, the Materials Project) and λ = 1.5418 Å (Cu Kα).

Main lines, in order of falling intensity (10° ≤ 2θ ≤ 90°):
2θ/deg	I (rel.)
17.15	100
38.77	39
35.02	36
50.03	23
31.18	16
57.37	14
34.09	12
48.85	11
38.03	10
46.10	10

Crystal structure
```
21
Lattice="2.872 -7.397 0.000 2.872 7.397 0.000 -0.253 0.000 5.170" Properties=species:S:1:pos:R:3 pbc="T T T"
Li 1.897 4.223 1.037
Li 2.872 6.035 0.000
Li 2.191 1.515 0.967
Li 2.191 -1.515 0.967
Li 1.897 -4.223 1.037
Li 2.872 -6.035 0.000
Mn 0.748 0.000 2.946
Mn 3.676 4.383 3.213
Mn 3.553 1.454 3.277
Mn 3.553 -1.454 3.277
Mn 3.676 -4.383 3.213
O 1.603 4.535 4.272
O 3.131 5.629 1.828
O 1.523 1.603 4.287
O 3.041 2.909 2.057
O 1.523 -1.603 4.287
O 2.834 0.000 2.137
O 1.603 -4.535 4.272
O 3.041 -2.909 2.057
O 4.547 0.000 4.155
O 3.131 -5.629 1.828
```